(1)
Structure and theoretical powder diffractogram of ErGeN4 (a cell relaxed with GGA-PBE; Cu Ka).

Crystal structure
Unit cell a=6.6938 b=6.9654 c=3.3644 alpha=90.00 beta=90.00 gamma=90.00
Space group Cmmm (No. 65)
Unique sites:
1 Er 0.0000 0.0000 0.0000 x2
2 Ge 0.0000 0.5000 0.5000 x2
3 N 0.0000 0.3323 0.0000 x4
4 N 0.2258 0.0000 0.5000 x4

Most intense lines, 10 to 80 degrees two-theta, sorted by position:
2θ/deg  I_rel  (hkl)
18.38  25  1 1 0
25.58  61  0 2 0
26.63  49  2 0 0
32.44  100  1 1 1
37.26  28  2 2 0
37.92  13  2 0 1
49.61  42  1 3 1
50.82  33  3 1 1
64.17  20  3 3 1
67.92  11  2 2 2

---

(2)
Structure and theoretical powder diffractogram of NaErGeO4 (a cell relaxed with GGA-PBE; Cu Ka).

Crystal structure
Unit cell a=11.3315 b=6.3652 c=5.2469 alpha=90.00 beta=90.00 gamma=90.00
Space group Pnma (No. 62)
Unique sites:
1 Na 0.0000 0.0000 0.0000 x4
2 Er 0.2230 0.2500 0.4951 x4
3 Ge 0.0972 0.7500 0.5534 x4
4 O 0.0469 0.2500 0.3242 x4
5 O 0.1100 0.7500 0.2241 x4
6 O 0.1748 0.5394 0.7107 x8

Most intense lines, 10 to 80 degrees two-theta, sorted by position:
2θ/deg  I_rel  (hkl)
15.64  40  2 0 0
18.64  24  1 0 1
23.33  84  1 1 1
28.04  42  0 2 0
29.13  25  3 0 1
32.42  100  3 1 1
33.88  27  1 2 1
44.77  20  0 2 2
47.71  27  2 2 2
52.45  26  3 3 1

---

(3)
Structure and theoretical powder diffractogram of NdEr2Ni4Ge4 (a cell relaxed with GGA-PBE; Cu Ka).

Crystal structure
Unit cell a=4.0770 b=6.8109 c=13.5498 alpha=90.00 beta=90.00 gamma=90.00
Space group Immm (No. 71)
Unique sites:
1 Nd 0.0000 0.0000 0.0000 x2
2 Er 0.0000 0.5000 0.1290 x4
3 Ni 0.0000 0.3033 0.3206 x8
4 Ge 0.0000 0.0000 0.2196 x4
5 Ge 0.0000 0.1891 0.5000 x4

Most intense lines, 10 to 80 degrees two-theta, sorted by position:
2θ/deg  I_rel  (hkl)
26.17  14  0 2 0
34.96  96  1 2 1
35.66  30  0 1 5
36.94  100  1 1 4
39.90  35  0 0 6
44.44  37  2 0 0
44.67  30  0 3 3
58.23  14  2 1 5
64.84  19  2 3 3
79.38  15  1 5 4

---

(4)
Structure and theoretical powder diffractogram of NdErGe4Os2 (a cell relaxed with GGA-PBE; Cu Ka).

Crystal structure
Unit cell a=4.4753 b=4.4549 c=8.3502 alpha=90.00 beta=104.57 gamma=90.00
Space group Pm (No. 6)
Unique sites:
1 Nd 0.0000 0.0000 0.0000 x1
2 Er 0.2385 0.5000 0.4185 x1
3 Ge 0.2850 0.0000 0.7095 x1
4 Ge 0.5704 0.5000 0.1179 x1
5 Ge 0.6558 0.0000 0.2933 x1
6 Ge 0.9284 0.5000 0.6945 x1
7 Os 0.4979 0.5000 0.8193 x1
8 Os 0.7141 0.0000 0.5865 x1

Most intense lines, 10 to 80 degrees two-theta, sorted by position:
2θ/deg  I_rel  (hkl)
10.95  100  0 0 1
28.75  54  1 1 0
28.88  85  1 1 -1
29.85  55  0 1 2
32.70  92  1 1 1
34.50  84  1 0 -3
39.08  84  0 1 3
40.31  47  2 0 -1
40.50  86  0 2 0
54.23  46  1 2 -3

---

(5)
Structure and theoretical powder diffractogram of NdEr2Ge4Pd4 (a cell relaxed with GGA-PBE; Cu Ka).

Crystal structure
Unit cell a=4.1718 b=7.1805 c=14.0322 alpha=90.00 beta=90.00 gamma=90.00
Space group Immm (No. 71)
Unique sites:
1 Nd 0.0000 0.0000 0.0000 x2
2 Er 0.0000 0.5000 0.1260 x4
3 Ge 0.0000 0.0000 0.2195 x4
4 Ge 0.0000 0.1841 0.5000 x4
5 Pd 0.0000 0.2979 0.3239 x8

Most intense lines, 10 to 80 degrees two-theta, sorted by position:
2θ/deg  I_rel  (hkl)
33.54  100  1 2 1
34.31  29  0 1 5
35.70  88  1 1 4
38.26  28  1 2 3
38.49  16  0 0 6
42.42  35  0 3 3
43.38  40  2 0 0
46.48  15  1 2 5
62.29  22  2 3 3
75.00  15  1 5 4

---

(6)
Structure and theoretical powder diffractogram of Er3NiGe5 (a cell relaxed with GGA-PBE; Cu Ka).

Crystal structure
Unit cell a=7.0661 b=7.0661 c=4.0562 alpha=90.00 beta=90.00 gamma=120.00
Space group P-62m (No. 189)
Unique sites:
1 Er 0.0000 0.6069 0.0000 x3
2 Ni 0.0000 0.0000 0.0000 x1
3 Ge 0.0000 0.2330 0.5000 x3
4 Ge 0.3333 0.6667 0.5000 x2

Most intense lines, 10 to 80 degrees two-theta, sorted by position:
2θ/deg  I_rel  (hkl)
25.21  19  1 1 0
33.64  100  1 1 1
36.79  51  2 0 1
38.94  32  2 1 0
44.41  22  3 0 0
44.68  21  0 0 2
58.99  18  3 1 1
60.74  18  2 1 2
64.83  14  3 0 2
71.05  16  3 2 1